(1)
Calculated X-ray diffraction stick pattern of Ta2Hg3SO4F10 for Cu Kα X-rays, from a PBE-relaxed structure.

Main lines, by angle (10° ≤ 2θ ≤ 90°):
- 2θ = 11.82°, intensity 24
- 2θ = 19.67°, intensity 32
- 2θ = 20.98°, intensity 56
- 2θ = 22.02°, intensity 32
- 2θ = 23.81°, intensity 100
- 2θ = 29.38°, intensity 22
- 2θ = 35.99°, intensity 18
- 2θ = 37.89°, intensity 19
- 2θ = 38.20°, intensity 13
- 2θ = 41.34°, intensity 13
- 2θ = 43.21°, intensity 15
- 2θ = 44.69°, intensity 18

Structure:
Cell: 10.4894 9.3062 12.3091 Å, 56.01 47.36 76.64°
Sites, in units of the cell vectors:
Ta 0.2457 0.7543 0.3682
Ta 0.6182 0.8818 0.4957
Ta 0.7543 0.2457 0.6318
Ta 0.8818 0.6182 0.0043
Hg 0.2056 0.2380 0.9930
Hg 0.2380 0.2056 0.5634
Hg 0.2570 0.6866 0.0444
Hg 0.2608 0.2608 0.7392
Hg 0.5108 0.5108 0.9892
Hg 0.6866 0.2570 0.0120
S 0.1123 0.1123 0.3877
S 0.8623 0.8623 0.1377
O 0.0462 0.8567 0.0612
O 0.1121 0.9175 0.4591
O 0.1888 0.2141 0.2038
O 0.2141 0.1888 0.3933
O 0.7387 0.7909 0.3325
O 0.7909 0.7387 0.1379
O 0.8567 0.0462 0.0359
O 0.9175 0.1121 0.5113
F 0.0117 0.5081 0.0786
F 0.0304 0.5711 0.5798
F 0.0767 0.8279 0.7987
F 0.1714 0.8483 0.2383
F 0.3257 0.6620 0.4910
F 0.3624 0.6136 0.2733
F 0.4314 0.6702 0.6789
F 0.4513 0.9533 0.1733
F 0.4993 0.9767 0.6364
F 0.5081 0.0117 0.4017
F 0.5711 0.0304 0.8186
F 0.6136 0.3624 0.7507
F 0.6620 0.3257 0.5213
F 0.6702 0.4314 0.2196
F 0.7287 0.7590 0.5880
F 0.7590 0.7287 0.9243
F 0.8279 0.0767 0.2967
F 0.8483 0.1714 0.7419
F 0.9533 0.4513 0.4221
F 0.9767 0.4993 0.8876

***

(2)
Calculated X-ray diffraction stick pattern of SiHg2O4F6 for Cu Kα X-rays, from a PBE-relaxed structure.

Main lines, by angle (10° ≤ 2θ ≤ 90°):
- 2θ = 18.18°, intensity 80
- 2θ = 20.53°, intensity 48
- 2θ = 23.99°, intensity 100
- 2θ = 25.52°, intensity 33
- 2θ = 26.05°, intensity 63
- 2θ = 27.00°, intensity 50
- 2θ = 30.72°, intensity 26
- 2θ = 35.93°, intensity 30
- 2θ = 36.83°, intensity 27
- 2θ = 38.78°, intensity 52
- 2θ = 44.06°, intensity 28
- 2θ = 55.37°, intensity 26

Structure:
Cell: 5.0640 5.3689 7.0776 Å, 109.10 97.97 91.72°
Sites, in units of the cell vectors:
Si 0.0000 0.0000 0.0000
Hg 0.0000 0.0000 0.5000
Hg 0.5000 0.5000 0.0000
O 0.3951 0.7123 0.4539
O 0.4218 0.2708 0.6527
O 0.5782 0.7292 0.3473
O 0.6049 0.2877 0.5461
F 0.0471 0.7668 0.1206
F 0.1071 0.7901 0.7895
F 0.3192 0.1363 0.1005
F 0.6808 0.8637 0.8995
F 0.8929 0.2099 0.2105
F 0.9529 0.2332 0.8794

***

(3)
Calculated X-ray diffraction stick pattern of SiHg2O4F6 for Cu Kα X-rays, from a PBE-relaxed structure.

Main lines, by angle (10° ≤ 2θ ≤ 90°):
- 2θ = 19.31°, intensity 65
- 2θ = 19.44°, intensity 74
- 2θ = 23.51°, intensity 100
- 2θ = 24.50°, intensity 33
- 2θ = 24.93°, intensity 37
- 2θ = 26.52°, intensity 68
- 2θ = 26.90°, intensity 58
- 2θ = 31.07°, intensity 33
- 2θ = 35.35°, intensity 38
- 2θ = 36.26°, intensity 43
- 2θ = 39.46°, intensity 27
- 2θ = 48.73°, intensity 28

Structure:
Cell: 5.1491 5.2393 7.0166 Å, 102.60 103.35 93.53°
Sites, in units of the cell vectors:
Si 0.0000 0.0000 0.0000
Hg 0.0000 0.0000 0.5000
Hg 0.5000 0.5000 0.0000
O 0.2931 0.3862 0.6509
O 0.3524 0.5452 0.5423
O 0.6476 0.4548 0.4577
O 0.7069 0.6138 0.3491
F 0.1325 0.3193 0.1139
F 0.2103 0.8953 0.1893
F 0.2386 0.9688 0.8633
F 0.7614 0.0312 0.1367
F 0.7897 0.1047 0.8107
F 0.8675 0.6807 0.8861

***

(4)
Calculated X-ray diffraction stick pattern of HgTe2O2F10 for Cu Kα X-rays, from a PBE-relaxed structure.

Main lines, by angle (10° ≤ 2θ ≤ 90°):
- 2θ = 10.75°, intensity 43
- 2θ = 16.88°, intensity 21
- 2θ = 18.82°, intensity 18
- 2θ = 19.51°, intensity 31
- 2θ = 21.29°, intensity 100
- 2θ = 23.71°, intensity 25
- 2θ = 24.58°, intensity 18
- 2θ = 26.95°, intensity 40
- 2θ = 30.79°, intensity 32
- 2θ = 33.73°, intensity 21
- 2θ = 38.33°, intensity 19
- 2θ = 44.01°, intensity 21

Structure:
Cell: 10.7401 10.7401 6.0326 Å, 96.80 96.80 50.13°
Sites, in units of the cell vectors:
Hg 0.1269 0.8731 0.7500
Hg 0.8731 0.1269 0.2500
Te 0.1247 0.6193 0.3339
Te 0.3807 0.8753 0.1661
Te 0.6193 0.1247 0.8339
Te 0.8753 0.3807 0.6661
O 0.0456 0.8294 0.4489
O 0.1706 0.9544 0.0511
O 0.8294 0.0456 0.9489
O 0.9544 0.1706 0.5511
F 0.0816 0.2933 0.7948
F 0.0815 0.5737 0.5921
F 0.1750 0.6505 0.0653
F 0.2027 0.4145 0.2110
F 0.2933 0.0816 0.2948
F 0.3389 0.5202 0.4497
F 0.3495 0.8250 0.4347
F 0.4145 0.2027 0.7110
F 0.4263 0.9185 0.9079
F 0.4798 0.6611 0.0503
F 0.5202 0.3389 0.9497
F 0.5737 0.0815 0.0921
F 0.5855 0.7973 0.2890
F 0.6505 0.1750 0.5653
F 0.6611 0.4798 0.5503
F 0.7067 0.9184 0.7052
F 0.7973 0.5855 0.7890
F 0.8250 0.3495 0.9347
F 0.9185 0.4263 0.4079
F 0.9184 0.7067 0.2052

***

(5)
Calculated X-ray diffraction stick pattern of Zn2Hg2OF6 for Cu Kα X-rays, from a PBE-relaxed structure.

Main lines, by angle (10° ≤ 2θ ≤ 90°):
- 2θ = 14.43°, intensity 21
- 2θ = 27.83°, intensity 14
- 2θ = 29.09°, intensity 100
- 2θ = 33.72°, intensity 33
- 2θ = 36.85°, intensity 17
- 2θ = 44.27°, intensity 9
- 2θ = 48.43°, intensity 48
- 2θ = 50.80°, intensity 7
- 2θ = 57.50°, intensity 45
- 2θ = 60.31°, intensity 11
- 2θ = 78.41°, intensity 18
- 2θ = 80.86°, intensity 15

Structure:
Cell: 7.5180 7.5180 7.5180 Å, 60.00 60.00 60.00°
Sites, in units of the cell vectors:
Zn 0.0000 0.0000 0.0000
Zn 0.0000 0.0000 0.5000
Zn 0.0000 0.5000 0.0000
Zn 0.5000 0.0000 0.0000
Hg 0.0000 0.5000 0.5000
Hg 0.5000 0.0000 0.5000
Hg 0.5000 0.5000 0.0000
Hg 0.5000 0.5000 0.5000
O 0.3750 0.3750 0.3750
O 0.6250 0.6250 0.6250
F 0.0755 0.0755 0.6745
F 0.0755 0.6745 0.0755
F 0.0755 0.6745 0.6745
F 0.3255 0.3255 0.9245
F 0.3255 0.9245 0.3255
F 0.3255 0.9245 0.9245
F 0.6745 0.0755 0.0755
F 0.6745 0.0755 0.6745
F 0.6745 0.6745 0.0755
F 0.9245 0.3255 0.3255
F 0.9245 0.3255 0.9245
F 0.9245 0.9245 0.3255

***

(6)
Calculated X-ray diffraction stick pattern of Rb2HgPdF6 for Cu Kα X-rays, from a PBE-relaxed structure.

Main lines, by angle (10° ≤ 2θ ≤ 90°):
- 2θ = 17.04°, intensity 7
- 2θ = 19.70°, intensity 18
- 2θ = 28.00°, intensity 100
- 2θ = 32.97°, intensity 6
- 2θ = 40.02°, intensity 35
- 2θ = 44.99°, intensity 9
- 2θ = 49.55°, intensity 42
- 2θ = 57.88°, intensity 22
- 2θ = 61.77°, intensity 4
- 2θ = 65.51°, intensity 19
- 2θ = 72.70°, intensity 7
- 2θ = 79.61°, intensity 22

Structure:
Cell: 6.3722 6.3722 6.3722 Å, 60.00 60.00 60.00°
Sites, in units of the cell vectors:
Rb 0.2500 0.2500 0.2500
Rb 0.7500 0.7500 0.7500
Hg 0.0000 0.0000 0.0000
Pd 0.5000 0.5000 0.5000
F 0.2574 0.2574 0.7426
F 0.2574 0.7426 0.2574
F 0.2574 0.7426 0.7426
F 0.7426 0.2574 0.2574
F 0.7426 0.2574 0.7426
F 0.7426 0.7426 0.2574

***

(7)
Calculated X-ray diffraction stick pattern of Hg3PtF6 for Cu Kα X-rays, from a PBE-relaxed structure.

Main lines, by angle (10° ≤ 2θ ≤ 90°):
- 2θ = 13.58°, intensity 100
- 2θ = 15.16°, intensity 20
- 2θ = 15.61°, intensity 19
- 2θ = 17.93°, intensity 36
- 2θ = 18.60°, intensity 14
- 2θ = 26.42°, intensity 14
- 2θ = 27.35°, intensity 14
- 2θ = 27.79°, intensity 17
- 2θ = 30.59°, intensity 13
- 2θ = 31.51°, intensity 13
- 2θ = 33.52°, intensity 12
- 2θ = 37.70°, intensity 13

Structure:
Cell: 5.7702 6.9327 13.0541 Å, 87.85 89.45 67.92°
Sites, in units of the cell vectors:
Hg 0.0000 0.0000 0.0000
Hg 0.0000 0.5000 0.5000
Hg 0.5000 0.0000 0.0000
Pt 0.5000 0.5000 0.0000
F 0.1838 0.5276 0.6205
F 0.4492 0.2975 0.0991
F 0.4849 0.3037 0.8973
F 0.5151 0.6963 0.1027
F 0.5508 0.7025 0.9009
F 0.8162 0.4724 0.3795

***

(8)
Calculated X-ray diffraction stick pattern of Rb2HgF4 for Cu Kα X-rays, from a PBE-relaxed structure.

Main lines, by angle (10° ≤ 2θ ≤ 90°):
- 2θ = 12.70°, intensity 49
- 2θ = 19.99°, intensity 25
- 2θ = 26.91°, intensity 72
- 2θ = 27.03°, intensity 100
- 2θ = 37.55°, intensity 30
- 2θ = 38.42°, intensity 41
- 2θ = 38.77°, intensity 14
- 2θ = 47.60°, intensity 44
- 2θ = 47.82°, intensity 20
- 2θ = 54.81°, intensity 20
- 2θ = 55.73°, intensity 19
- 2θ = 62.72°, intensity 23

Structure:
Cell: 7.7157 7.7157 7.7157 Å, 144.64 144.64 50.87°
Sites, in units of the cell vectors:
Rb 0.1413 0.1413 0.0000
Rb 0.8587 0.8587 0.0000
Hg 0.5000 0.5000 0.0000
F 0.0000 0.5000 0.5000
F 0.3368 0.3368 0.0000
F 0.5000 0.0000 0.5000
F 0.6632 0.6632 0.0000

***

(9)
Calculated X-ray diffraction stick pattern of Rb2HgRhF6 for Cu Kα X-rays, from a PBE-relaxed structure.

Main lines, by angle (10° ≤ 2θ ≤ 90°):
- 2θ = 17.01°, intensity 5
- 2θ = 19.66°, intensity 18
- 2θ = 27.95°, intensity 100
- 2θ = 32.90°, intensity 7
- 2θ = 39.94°, intensity 34
- 2θ = 43.69°, intensity 5
- 2θ = 44.89°, intensity 8
- 2θ = 49.45°, intensity 41
- 2θ = 57.76°, intensity 22
- 2θ = 65.36°, intensity 19
- 2θ = 72.52°, intensity 7
- 2θ = 79.42°, intensity 22

Structure:
Cell: 6.3852 6.3852 6.3852 Å, 60.00 60.00 60.00°
Sites, in units of the cell vectors:
Rb 0.2500 0.2500 0.2500
Rb 0.7500 0.7500 0.7500
Hg 0.0000 0.0000 0.0000
Rh 0.5000 0.5000 0.5000
F 0.2728 0.2728 0.7272
F 0.2728 0.7272 0.2728
F 0.2728 0.7272 0.7272
F 0.7272 0.2728 0.2728
F 0.7272 0.2728 0.7272
F 0.7272 0.7272 0.2728